# 1
# CePu3Ga8
Simulated powder XRD pattern, copper Kα. Input: DFT lattice parameters and positions (GGA-PBE).
Intensities are scaled so that the largest is 100.

Crystal structure
a = 5.6185 Å, b = 5.6185 Å, c = 8.6863 Å
α = 90.00°, β = 90.00°, γ = 120.00°
Fractional coordinates of all 12 atoms:
Ce: 0.0000 0.0000 0.0000
Pu: 0.0000 0.0000 0.3291
Pu: 0.6667 0.3333 0.4935
Pu: 0.6667 0.3333 0.8336
Ga: 0.1583 0.3167 0.6617
Ga: 0.1583 0.8417 0.6617
Ga: 0.3333 0.6667 0.4135
Ga: 0.3333 0.6667 0.9137
Ga: 0.5086 0.0173 0.1665
Ga: 0.5086 0.4914 0.1665
Ga: 0.6833 0.8417 0.6617
Ga: 0.9827 0.4914 0.1665

Largest 10 diffraction maxima, in order of rising 2θ, 10° ≤ 2θ ≤ 80°:
2θ/deg  I (rel.)
18.2  20
20.9  27
31.9  65
36.1  100
38.2  59
38.4  61
59.5  43
61.0  15
66.6  32
78.1  21


# 2
# Ce2PuGaRu2
Simulated powder XRD pattern, copper Kα. Input: DFT lattice parameters and positions (GGA-PBE).
Intensities are scaled so that the largest is 100.

Crystal structure
a = 7.7630 Å, b = 7.7630 Å, c = 7.7630 Å
α = 131.43°, β = 71.17°, γ = 131.38°
Fractional coordinates of all 12 atoms:
Ce: 0.1815 0.2400 0.4215
Ce: 0.3185 0.7400 0.0586
Ce: 0.6815 0.2600 0.9414
Ce: 0.8185 0.7600 0.5785
Pu: 0.2500 0.2500 0.0000
Pu: 0.7500 0.7500 0.0000
Ga: 0.2500 0.7500 0.5000
Ga: 0.7500 0.2500 0.5000
Ru: 0.1322 0.7338 0.8660
Ru: 0.3678 0.2338 0.6016
Ru: 0.6322 0.7662 0.3984
Ru: 0.8678 0.2662 0.1340

Largest 10 diffraction maxima, in order of rising 2θ, 10° ≤ 2θ ≤ 80°:
2θ/deg  I (rel.)
15.6  23
31.4  100
34.7  17
39.9  63
40.2  61
43.0  15
57.7  21
60.1  23
67.2  22
72.6  20


# 3
# CePu2Zn2Ga2
Simulated powder XRD pattern, copper Kα. Input: DFT lattice parameters and positions (GGA-PBE).
Intensities are scaled so that the largest is 100.

Crystal structure
a = 9.5580 Å, b = 9.5580 Å, c = 9.5580 Å
α = 24.70°, β = 24.70°, γ = 24.70°
Fractional coordinates of all 7 atoms:
Ce: 0.0000 0.0000 0.0000
Pu: 0.1525 0.1525 0.1525
Pu: 0.8475 0.8475 0.8475
Zn: 0.4172 0.4172 0.4172
Zn: 0.5828 0.5828 0.5828
Ga: 0.2609 0.2609 0.2609
Ga: 0.7391 0.7391 0.7391

Largest 10 diffraction maxima, in order of rising 2θ, 10° ≤ 2θ ≤ 80°:
2θ/deg  I (rel.)
19.2  16
25.4  27
29.9  15
33.9  100
38.9  15
41.3  14
44.3  67
56.9  23
60.4  24
74.9  20


# 4
# Ce2Ga3Re
Simulated powder XRD pattern, copper Kα. Input: DFT lattice parameters and positions (GGA-PBE).
Intensities are scaled so that the largest is 100.

Crystal structure
a = 5.4453 Å, b = 5.4453 Å, c = 5.4453 Å
α = 60.89°, β = 60.89°, γ = 60.89°
Fractional coordinates of all 6 atoms:
Ce: 0.1258 0.1258 0.1258
Ce: 0.8742 0.8742 0.8742
Ga: 0.0000 0.5000 0.5000
Ga: 0.5000 0.0000 0.5000
Ga: 0.5000 0.5000 0.0000
Re: 0.5000 0.5000 0.5000

Largest 10 diffraction maxima, in order of rising 2θ, 10° ≤ 2θ ≤ 80°:
2θ/deg  I (rel.)
32.4  57
38.3  13
38.5  100
38.9  47
40.1  34
40.9  11
61.9  25
62.2  24
67.9  21
69.0  20